# 1
The following is a calculated X-ray diffraction stick pattern of Nb3SeIBr3Cl3. It was derived from a PBE-relaxed structure, using Cu Ka.
Peak positions follow from Bragg's law for the DFT cell and can differ from measured ones.

Most intense lines, 2θ = 15–90°, sorted by position:
- d = 4.614 Å, 19.24 deg, rel. 21
- d = 2.843 Å, 31.47 deg, rel. 100
- d = 2.307 Å, 39.04 deg, rel. 53
- d = 2.233 Å, 40.39 deg, rel. 15
- d = 1.842 Å, 49.49 deg, rel. 27
- d = 1.805 Å, 50.58 deg, rel. 24

Cell and atoms:
Unit cell a=7.2187 b=7.2187 c=6.8383 alpha=90.00 beta=90.00 gamma=120.00
Fractional coordinates of all 11 atoms:
1 Nb 0.0658 0.5329 0.0000
2 Nb 0.4671 0.5329 0.0000
3 Nb 0.4671 0.9342 0.0000
4 Se 0.3333 0.6667 0.2807
5 I 0.6667 0.3333 0.7572
6 Br 0.3316 0.1658 0.2044
7 Br 0.8342 0.1658 0.2044
8 Br 0.8342 0.6684 0.2044
9 Cl 0.1738 0.3475 0.7702
10 Cl 0.1738 0.8262 0.7702
11 Cl 0.6525 0.8262 0.7702

---

# 2
The following is a calculated X-ray diffraction stick pattern of Nb3SeI3BrCl3. It was derived from a PBE-relaxed structure, using Cu Ka.
Peak positions follow from Bragg's law for the DFT cell and can differ from measured ones.

Most intense lines, 2θ = 15–90°, sorted by position:
- d = 4.660 Å, 19.04 deg, rel. 14
- d = 2.868 Å, 31.19 deg, rel. 100
- d = 2.330 Å, 38.64 deg, rel. 52
- d = 1.862 Å, 48.92 deg, rel. 21
- d = 1.819 Å, 50.15 deg, rel. 23
- d = 1.536 Å, 60.24 deg, rel. 13

Cell and atoms:
Unit cell a=7.2768 b=7.2768 c=6.9237 alpha=90.00 beta=90.00 gamma=120.00
Fractional coordinates of all 11 atoms:
1 Nb 0.0569 0.5284 0.0000
2 Nb 0.4716 0.5284 0.0000
3 Nb 0.4716 0.9431 0.0000
4 Se 0.3333 0.6667 0.2690
5 I 0.1630 0.3261 0.7271
6 I 0.1630 0.8370 0.7271
7 I 0.6739 0.8370 0.7271
8 Br 0.6667 0.3333 0.7972
9 Cl 0.3414 0.1707 0.1831
10 Cl 0.8293 0.1707 0.1831
11 Cl 0.8293 0.6586 0.1831

---

# 3
The following is a calculated X-ray diffraction stick pattern of RbTaI2Br2Cl2. It was derived from a PBE-relaxed structure, using Cu Ka.
Peak positions follow from Bragg's law for the DFT cell and can differ from measured ones.

Most intense lines, 2θ = 15–90°, sorted by position:
- d = 3.336 Å, 26.72 deg, rel. 68
- d = 3.163 Å, 28.21 deg, rel. 53
- d = 3.014 Å, 29.64 deg, rel. 68
- d = 2.986 Å, 29.92 deg, rel. 100
- d = 2.940 Å, 30.41 deg, rel. 93
- d = 1.922 Å, 47.30 deg, rel. 72

Cell and atoms:
Unit cell a=15.5657 b=15.5657 c=3.8937 alpha=94.79 beta=94.79 gamma=117.84
Fractional coordinates of all 16 atoms:
1 Rb 0.1781 0.8219 0.0000
2 Rb 0.8219 0.1781 0.0000
3 Ta 0.0000 0.5000 0.0000
4 Ta 0.5000 0.0000 0.0000
5 I 0.1519 0.5952 0.5790
6 I 0.4048 0.8481 0.4210
7 I 0.5952 0.1519 0.5790
8 I 0.8481 0.4048 0.4210
9 Br 0.0415 0.3571 0.9501
10 Br 0.3571 0.0415 0.9501
11 Br 0.6429 0.9585 0.0499
12 Br 0.9585 0.6429 0.0499
13 Cl 0.3465 0.5325 0.0398
14 Cl 0.4675 0.6535 0.9602
15 Cl 0.5325 0.3465 0.0398
16 Cl 0.6535 0.4675 0.9602

---

# 4
The following is a calculated X-ray diffraction stick pattern of TaInBr2Cl2O. It was derived from a PBE-relaxed structure, using Cu Ka.
Peak positions follow from Bragg's law for the DFT cell and can differ from measured ones.

Most intense lines, 2θ = 15–90°, sorted by position:
- d = 5.842 Å, 15.16 deg, rel. 36
- d = 3.758 Å, 23.68 deg, rel. 34
- d = 3.457 Å, 25.77 deg, rel. 77
- d = 2.925 Å, 30.56 deg, rel. 100
- d = 2.889 Å, 30.95 deg, rel. 51
- d = 2.127 Å, 42.50 deg, rel. 22

Cell and atoms:
Unit cell a=7.2648 b=7.2648 c=7.6424 alpha=105.86 beta=105.86 gamma=31.26
Fractional coordinates of all 7 atoms:
1 Ta 0.0000 0.0000 0.0000
2 In 0.4868 0.5132 0.5000
3 Br 0.1101 0.1656 0.3043
4 Br 0.8344 0.8899 0.6957
5 Cl 0.0917 0.1523 0.8348
6 Cl 0.8477 0.9083 0.1652
7 O 0.4768 0.5232 0.0000